Entry 1:
Diffraction record for Ag3PdO6. The powder XRD pattern is calculated, not measured: it uses a DFT-relaxed cell (GGA-PBE, Alexandria) and Cu Kα, 1.54184 Å.
Lines closer than 0.1° are merged.

Cell and atoms:
```
10
Lattice="2.724 1.572 4.995 -2.724 1.572 4.995 0.000 -3.145 4.995" Properties=species:S:1:pos:R:3 pbc="T T T"
Ag 0.000 0.000 0.000
Ag 0.000 0.000 3.014
Ag 0.000 0.000 7.287
Pd 0.000 0.000 10.260
O -0.976 -1.723 6.291
O -1.585 -0.089 8.962
O -1.004 1.707 6.291
O 0.869 -1.328 8.962
O 1.980 0.016 6.291
O 0.715 1.417 8.962
```

Main lines, sorted by position (10° ≤ 2θ ≤ 90°):
2θ (°)	I_rel
22.27	386
30.47	914
32.88	1000
45.44	340
49.52	578
57.22	316
58.72	297
65.34	130



Entry 2:
Diffraction record for BaBeSe. The powder XRD pattern is calculated, not measured: it uses a DFT-relaxed cell (GGA-PBE, Alexandria) and Cu Kα, 1.54184 Å.
Lines closer than 0.1° are merged.

Cell and atoms:
```
3
Lattice="3.957 0.000 0.000 -1.979 3.427 0.000 0.000 0.000 5.210" Properties=species:S:1:pos:R:3 pbc="T T T"
Ba 0.000 0.000 0.000
Be 1.979 1.142 2.549
Se 0.000 2.285 2.613
```

Main lines, sorted by position (10° ≤ 2θ ≤ 90°):
2θ (°)	I_rel
26.00	274
31.24	1000
34.43	175
45.86	231
56.53	181
58.58	222
59.69	154
75.65	155



Entry 3:
Diffraction record for Tb2PmDy2Mg2. The powder XRD pattern is calculated, not measured: it uses a DFT-relaxed cell (GGA-PBE, Alexandria) and Cu Kα, 1.54184 Å.
Lines closer than 0.1° are merged.

Cell and atoms:
```
7
Lattice="2.738 1.581 8.039 -2.738 1.581 8.039 0.000 -3.161 8.039" Properties=species:S:1:pos:R:3 pbc="T T T"
Tb 0.000 0.000 3.764
Tb 0.000 0.000 20.351
Pm 0.000 0.000 0.000
Dy 0.000 0.000 10.319
Dy 0.000 0.000 13.797
Mg 0.000 0.000 6.986
Mg 0.000 0.000 17.130
```

Main lines, sorted by position (10° ≤ 2θ ≤ 90°):
2θ (°)	I_rel
11.01	222
26.36	329
32.11	921
32.71	1000
46.50	330
56.85	290
58.01	342
58.38	191



Entry 4:
Diffraction record for KHg3I3. The powder XRD pattern is calculated, not measured: it uses a DFT-relaxed cell (GGA-PBE, Alexandria) and Cu Kα, 1.54184 Å.
Lines closer than 0.1° are merged.

Cell and atoms:
```
14
Lattice="9.211 0.000 0.000 0.000 9.211 0.000 0.000 0.000 9.211" Properties=species:S:1:pos:R:3 pbc="T T T"
K 0.000 0.000 0.000
K 4.606 4.606 4.606
Hg 0.000 2.303 4.606
Hg 0.000 6.909 4.606
Hg 2.303 4.606 0.000
Hg 4.606 0.000 2.303
Hg 4.606 0.000 6.909
Hg 6.909 4.606 0.000
I 0.000 4.606 2.303
I 0.000 4.606 6.909
I 2.303 0.000 4.606
I 4.606 2.303 0.000
I 4.606 6.909 0.000
I 6.909 0.000 4.606
```

Main lines, sorted by position (10° ≤ 2θ ≤ 90°):
2θ (°)	I_rel
13.59	1000
19.27	394
23.66	969
33.71	852
36.50	631
39.12	504
56.51	344
67.44	351



Entry 5:
Diffraction record for Na2UI6. The powder XRD pattern is calculated, not measured: it uses a DFT-relaxed cell (GGA-PBE, Alexandria) and Cu Kα, 1.54184 Å.
Lines closer than 0.1° are merged.

Cell and atoms:
```
18
Lattice="7.678 0.000 0.000 0.000 8.267 0.000 -7.401 0.000 11.977" Properties=species:S:1:pos:R:3 pbc="T T T"
Na -0.342 0.872 2.793
Na -4.042 3.262 8.782
Na 4.320 5.005 3.195
Na 0.619 7.395 9.183
U 3.839 0.000 0.000
U 0.139 4.133 5.988
I -5.992 1.579 11.133
I -2.292 2.555 5.145
I -4.903 5.715 11.072
I -1.203 6.685 5.084
I -2.433 0.410 9.193
I 1.268 3.724 3.204
I -0.990 4.543 8.772
I 2.710 7.857 2.784
I 1.481 1.581 6.893
I 5.181 2.552 0.905
I 2.569 5.712 6.832
I 6.270 6.688 0.843
```

Main lines, sorted by position (10° ≤ 2θ ≤ 90°):
2θ (°)	I_rel
13.01	666
13.85	301
15.75	390
25.38	728
25.53	1000
26.51	520
34.57	379
45.47	362



Entry 6:
Diffraction record for LiFeH2. The powder XRD pattern is calculated, not measured: it uses a DFT-relaxed cell (GGA-PBE, Alexandria) and Cu Kα, 1.54184 Å.
Lines closer than 0.1° are merged.

Cell and atoms:
```
4
Lattice="1.332 0.769 4.537 -1.332 0.769 4.537 0.000 -1.538 4.537" Properties=species:S:1:pos:R:3 pbc="T T T"
Li 0.000 0.000 0.000
Fe 0.000 0.000 6.805
H 0.000 0.000 3.202
H 0.000 0.000 10.409
```

Main lines, sorted by position (10° ≤ 2θ ≤ 90°):
2θ (°)	I_rel
19.57	1000
39.62	444
39.74	195
41.32	517
47.62	384
51.95	184
74.19	120
84.29	157